Na8B9C7: computed powder X-ray diffraction pattern (λ = 1.5418 Å (Cu Kα)), based on a PBE-relaxed structure.

Top 10 peaks for 10° ≤ 2θ ≤ 90°, by angle:
d = 2.471 Å, 2θ 36.35, I = 90; d = 2.458 Å, 2θ 36.55, I = 171; d = 2.134 Å, 2θ 42.36, I = 498; d = 2.125 Å, 2θ 42.54, I = 1000; d = 2.115 Å, 2θ 42.76, I = 386; d = 1.603 Å, 2θ 57.49, I = 96; d = 1.424 Å, 2θ 65.54, I = 173; d = 1.417 Å, 2θ 65.93, I = 85; d = 1.223 Å, 2θ 78.16, I = 125; d = 1.181 Å, 2θ 81.51, I = 278

Cell and atoms:
Cell: 8.9202 8.9202 4.9428 Å, 90.00 90.00 142.96°
Fractional coordinates of all 24 atoms:
Na 0.1246 0.3754 0.4983
Na 0.1254 0.8746 0.0000
Na 0.3735 0.6265 0.9976
Na 0.3754 0.1246 0.4983
Na 0.6246 0.8754 0.4983
Na 0.6265 0.3735 0.9976
Na 0.8746 0.1254 0.0000
Na 0.8754 0.6246 0.4983
B 0.0000 0.0000 0.3184
B 0.0000 0.0000 0.6595
B 0.0000 0.5000 0.1658
B 0.2502 0.7498 0.6657
B 0.2610 0.2610 0.8422
B 0.5000 0.0000 0.1658
B 0.5000 0.5000 0.3350
B 0.7390 0.7390 0.8422
B 0.7498 0.2502 0.6657
C 0.0000 0.5000 0.8319
C 0.2505 0.7495 0.3320
C 0.2548 0.2548 0.1640
C 0.5000 0.0000 0.8319
C 0.5000 0.5000 0.6641
C 0.7452 0.7452 0.1640
C 0.7495 0.2505 0.3320



Li2ZnH5: computed powder X-ray diffraction pattern (λ = 1.5418 Å (Cu Kα)), based on a PBE-relaxed structure.

Top 10 peaks for 10° ≤ 2θ ≤ 90°, by angle:
d = 4.571 Å, 2θ 19.42, I = 972; d = 4.088 Å, 2θ 21.74, I = 1000; d = 3.475 Å, 2θ 25.63, I = 339; d = 3.249 Å, 2θ 27.45, I = 928; d = 2.767 Å, 2θ 32.36, I = 212; d = 2.536 Å, 2θ 35.40, I = 410; d = 2.367 Å, 2θ 38.02, I = 347; d = 2.291 Å, 2θ 39.32, I = 502; d = 2.102 Å, 2θ 43.04, I = 403; d = 1.618 Å, 2θ 56.91, I = 306

Cell and atoms:
Cell: 4.9419 4.9419 9.1432 Å, 90.00 90.00 135.31°
Fractional coordinates of all 16 atoms:
Li 0.1886 0.8114 0.5907
Li 0.1886 0.8114 0.9093
Li 0.8114 0.1886 0.0907
Li 0.8114 0.1886 0.4093
Zn 0.1604 0.8396 0.2500
Zn 0.8396 0.1604 0.7500
H 0.0158 0.9842 0.0428
H 0.0158 0.9842 0.4572
H 0.2833 0.7167 0.1005
H 0.2833 0.7167 0.3995
H 0.3522 0.6478 0.7500
H 0.6478 0.3522 0.2500
H 0.7167 0.2833 0.6005
H 0.7167 0.2833 0.8995
H 0.9842 0.0158 0.5428
H 0.9842 0.0158 0.9572